Starting from a GGA+U-relaxed structure, the X-ray powder pattern of CePaV2O8 was simulated for Cu Kα X-rays.
Kinematic intensities with the Lorentz-polarization factor, no thermal factor.

Structure:
Cell lengths 5.199, 5.199, 11.077 Å; angles 90.00, 90.00, 90.00 degrees
Space group I-4 (No. 82)
One atom of each set of equivalent atoms:
Ce 0.000 0.000 0.000 x2
Pa 0.000 0.500 0.750 x2
V 0.000 0.000 0.500 x2
V 0.000 0.500 0.250 x2
O 0.177 0.247 0.586 x8
O 0.187 0.774 0.166 x8

Largest 12 diffraction maxima, sorted by position, 10 to 90 degrees two-theta:
- d 4.707, 18.85°, intensity 48, hkl 1 0 1
- d 3.063, 29.15°, intensity 100, hkl 1 1 2
- d 3.010, 29.68°, intensity 13, hkl 1 0 3
- d 2.769, 32.33°, intensity 14, hkl 0 0 4
- d 2.600, 34.50°, intensity 19, hkl 2 0 0
- d 2.276, 39.61°, intensity 17, hkl 2 1 1
- d 1.968, 46.14°, intensity 13, hkl 1 2 3
- d 1.895, 48.00°, intensity 31, hkl 2 0 4
- d 1.838, 49.59°, intensity 15, hkl 2 2 0
- d 1.650, 55.72°, intensity 16, hkl 1 1 6
- d 1.576, 58.56°, intensity 28, hkl 1 3 2
- d 1.228, 77.79°, intensity 12, hkl 3 1 6